No. 1
Calculated powder diffractogram
Compound: Sb
Radiation: Cu Kα (weighted mean of Kα1 and Kα2)
Structure: DFT lattice parameters and positions (GGA-PBE)
Peak positions follow from Bragg's law for the DFT cell and can differ from measured ones.

Crystal structure
Unit cell a=3.1224 b=4.3475 c=4.4060 alpha=90.00 beta=90.51 gamma=90.00
Fractional positions:
Sb: 0.0114 0.2500 0.2412
Sb: 0.9886 0.7500 0.7588

Largest 10 diffraction maxima, by angle, 2θ from 10° to 90°:
2θ = 28.6°, d = 3.122 Å, intensity 51
2θ = 28.9°, d = 3.095 Å, intensity 100
2θ = 40.9°, d = 2.204 Å, intensity 57
2θ = 41.2°, d = 2.191 Å, intensity 38
2θ = 41.5°, d = 2.174 Å, intensity 19
2θ = 50.5°, d = 1.808 Å, intensity 10
2θ = 50.9°, d = 1.793 Å, intensity 10
2θ = 51.2°, d = 1.784 Å, intensity 20
2θ = 59.8°, d = 1.547 Å, intensity 12
2θ = 67.3°, d = 1.391 Å, intensity 25

No. 2
Calculated powder diffractogram
Compound: K3Cd16
Radiation: Cu Kα (weighted mean of Kα1 and Kα2)
Structure: DFT lattice parameters and positions (GGA-PBE)
Peak positions follow from Bragg's law for the DFT cell and can differ from measured ones.

Crystal structure
Unit cell a=9.4930 b=9.4930 c=11.5726 alpha=90.00 beta=90.00 gamma=90.00
Fractional positions:
K: 0.2500 0.2500 0.0878
K: 0.2500 0.2500 0.4122
K: 0.2500 0.2500 0.7500
K: 0.7500 0.7500 0.2500
K: 0.7500 0.7500 0.5878
K: 0.7500 0.7500 0.9122
Cd: 0.0947 0.6098 0.0626
Cd: 0.0947 0.8902 0.4374
Cd: 0.1013 0.6050 0.8126
Cd: 0.1013 0.8950 0.6874
Cd: 0.1050 0.6013 0.3126
Cd: 0.1050 0.8987 0.1874
Cd: 0.1098 0.5947 0.5626
Cd: 0.1098 0.9053 0.9374
Cd: 0.3902 0.5947 0.9374
Cd: 0.3902 0.9053 0.5626
Cd: 0.3950 0.6013 0.1874
Cd: 0.3950 0.8987 0.3126
Cd: 0.3987 0.6050 0.6874
Cd: 0.3987 0.8950 0.8126
Cd: 0.4053 0.6098 0.4374
Cd: 0.4053 0.8902 0.0626
Cd: 0.5947 0.1098 0.9374
Cd: 0.5947 0.3902 0.5626
Cd: 0.6013 0.1050 0.1874
Cd: 0.6013 0.3950 0.3126
Cd: 0.6050 0.1013 0.6874
Cd: 0.6050 0.3987 0.8126
Cd: 0.6098 0.0947 0.4374
Cd: 0.6098 0.4053 0.0626
Cd: 0.8902 0.0947 0.0626
Cd: 0.8902 0.4053 0.4374
Cd: 0.8950 0.1013 0.8126
Cd: 0.8950 0.3987 0.6874
Cd: 0.8987 0.1050 0.3126
Cd: 0.8987 0.3950 0.1874
Cd: 0.9053 0.1098 0.5626
Cd: 0.9053 0.3902 0.9374

Largest 10 diffraction maxima, by angle, 2θ from 10° to 90°:
2θ = 13.2°, d = 6.713 Å, intensity 46
2θ = 18.7°, d = 4.746 Å, intensity 11
2θ = 29.8°, d = 3.002 Å, intensity 63
2θ = 37.6°, d = 2.391 Å, intensity 100
2θ = 37.9°, d = 2.373 Å, intensity 25
2θ = 40.3°, d = 2.238 Å, intensity 22
2θ = 46.6°, d = 1.947 Å, intensity 10
2θ = 50.7°, d = 1.802 Å, intensity 12
2θ = 61.6°, d = 1.505 Å, intensity 34
2θ = 76.4°, d = 1.246 Å, intensity 9

No. 3
Calculated powder diffractogram
Compound: ErCu5
Radiation: Cu Kα (weighted mean of Kα1 and Kα2)
Structure: DFT lattice parameters and positions (GGA-PBE)
Peak positions follow from Bragg's law for the DFT cell and can differ from measured ones.

Crystal structure
Unit cell a=4.9447 b=4.9447 c=4.9447 alpha=60.00 beta=60.00 gamma=60.00
Fractional positions:
Er: 0.0000 0.0000 0.0000
Cu: 0.3759 0.3759 0.3759
Cu: 0.3759 0.3759 0.8722
Cu: 0.3759 0.8722 0.3759
Cu: 0.7500 0.7500 0.7500
Cu: 0.8722 0.3759 0.3759

Largest 10 diffraction maxima, by angle, 2θ from 10° to 90°:
2θ = 22.0°, d = 4.037 Å, intensity 10
2θ = 25.5°, d = 3.496 Å, intensity 10
2θ = 36.3°, d = 2.472 Å, intensity 45
2θ = 42.9°, d = 2.108 Å, intensity 100
2θ = 44.9°, d = 2.019 Å, intensity 26
2θ = 59.1°, d = 1.564 Å, intensity 4
2θ = 65.4°, d = 1.427 Å, intensity 16
2θ = 69.9°, d = 1.346 Å, intensity 30
2θ = 77.2°, d = 1.236 Å, intensity 22
2θ = 88.4°, d = 1.106 Å, intensity 7

No. 4
Calculated powder diffractogram
Compound: Cs3ReO5
Radiation: Cu Kα (weighted mean of Kα1 and Kα2)
Structure: DFT lattice parameters and positions (GGA-PBE)
Peak positions follow from Bragg's law for the DFT cell and can differ from measured ones.

Crystal structure
Unit cell a=9.0287 b=9.5318 c=9.6588 alpha=90.00 beta=90.00 gamma=90.00
Fractional positions:
Cs: 0.0459 0.2500 0.2500
Cs: 0.2500 0.0000 0.5183
Cs: 0.2500 0.0000 0.9777
Cs: 0.2500 0.5000 0.5223
Cs: 0.2500 0.5000 0.9817
Cs: 0.4541 0.7500 0.2500
Cs: 0.5459 0.2500 0.7500
Cs: 0.7500 0.0000 0.0223
Cs: 0.7500 0.0000 0.4817
Cs: 0.7500 0.5000 0.0183
Cs: 0.7500 0.5000 0.4777
Cs: 0.9541 0.7500 0.7500
Re: 0.0249 0.2500 0.7500
Re: 0.4751 0.7500 0.7500
Re: 0.5249 0.2500 0.2500
Re: 0.9751 0.7500 0.2500
O: 0.0217 0.7188 0.0650
O: 0.0217 0.7812 0.4350
O: 0.0308 0.5651 0.2806
O: 0.0308 0.9349 0.2194
O: 0.2238 0.2500 0.7500
O: 0.2762 0.7500 0.7500
O: 0.4692 0.0651 0.2194
O: 0.4692 0.4349 0.2806
O: 0.4783 0.2188 0.4350
O: 0.4783 0.2812 0.0650
O: 0.5217 0.7188 0.9350
O: 0.5217 0.7812 0.5650
O: 0.5308 0.5651 0.7194
O: 0.5308 0.9349 0.7806
O: 0.7238 0.2500 0.2500
O: 0.7762 0.7500 0.2500
O: 0.9692 0.0651 0.7806
O: 0.9692 0.4349 0.7194
O: 0.9783 0.2188 0.5650
O: 0.9783 0.2812 0.9350

Largest 10 diffraction maxima, by angle, 2θ from 10° to 90°:
2θ = 16.3°, d = 5.424 Å, intensity 16
2θ = 26.3°, d = 3.392 Å, intensity 100
2θ = 27.0°, d = 3.298 Å, intensity 89
2θ = 27.2°, d = 3.277 Å, intensity 91
2θ = 37.2°, d = 2.415 Å, intensity 23
2θ = 37.8°, d = 2.383 Å, intensity 25
2θ = 39.9°, d = 2.257 Å, intensity 16
2θ = 46.7°, d = 1.944 Å, intensity 33
2θ = 47.0°, d = 1.931 Å, intensity 36
2θ = 48.4°, d = 1.879 Å, intensity 24

No. 5
Calculated powder diffractogram
Compound: Re3Ir
Radiation: Cu Kα (weighted mean of Kα1 and Kα2)
Structure: DFT lattice parameters and positions (GGA-PBE)
Peak positions follow from Bragg's law for the DFT cell and can differ from measured ones.

Crystal structure
Unit cell a=3.9038 b=3.9038 c=7.8399 alpha=90.00 beta=90.00 gamma=90.00
Fractional positions:
Re: 0.0000 0.0000 0.0000
Re: 0.0000 0.5000 0.2500
Re: 0.0000 0.5000 0.7500
Re: 0.5000 0.0000 0.2500
Re: 0.5000 0.0000 0.7500
Re: 0.5000 0.5000 0.5000
Ir: 0.0000 0.0000 0.5000
Ir: 0.5000 0.5000 0.0000

Largest 8 diffraction maxima, by angle, 2θ from 10° to 90°:
2θ = 39.9°, d = 2.257 Å, intensity 100
2θ = 46.3°, d = 1.960 Å, intensity 16
2θ = 46.5°, d = 1.952 Å, intensity 33
2θ = 67.8°, d = 1.383 Å, intensity 21
2θ = 67.9°, d = 1.380 Å, intensity 11
2θ = 81.5°, d = 1.181 Å, intensity 13
2θ = 81.8°, d = 1.177 Å, intensity 26
2θ = 86.2°, d = 1.128 Å, intensity 12